No. 1
For YTh2, a GGA-PBE-relaxed structure gives the computed powder XRD pattern in this record (λ = 1.5418 Å (Cu Kα)).
Neutral-atom scattering factors, no anomalous dispersion.

Cell lengths 3.6082, 4.9958, 10.7560 Å; angles 90.00, 90.00, 90.00 degrees
Space group Immm (No. 71)
Inequivalent atoms, fractional coordinates:
Y  0.0000  0.0000  0.0000 x2
Th  0.0000  0.0000  0.3303 x4

Main lines, by angle (2θ from 15° to 90°):
d 5.378, 2θ 16.5, rel. 15
d 4.531, 2θ 19.6, rel. 15
d 2.925, 2θ 30.6, rel. 100
d 2.913, 2θ 30.7, rel. 99
d 2.543, 2θ 35.3, rel. 68
d 2.498, 2θ 36.0, rel. 33
d 1.782, 2θ 51.3, rel. 48
d 1.534, 2θ 60.3, rel. 30
d 1.528, 2θ 60.6, rel. 29
d 1.511, 2θ 61.3, rel. 28

***

No. 2
For YTh4, a GGA-PBE-relaxed structure gives the computed powder XRD pattern in this record (λ = 1.5418 Å (Cu Kα)).
Neutral-atom scattering factors, no anomalous dispersion.

Cell lengths 3.5497, 3.5528, 14.9744 Å; angles 83.19, 83.20, 60.27 degrees
Space group P-1 (No. 2)
Inequivalent atoms, fractional coordinates:
Y  0.0000  0.0000  0.0000 x1
Th  0.1386  0.1373  0.6007 x2
Th  0.2673  0.2750  0.2007 x2

Main lines, by angle (2θ from 15° to 90°):
d 3.060, 2θ 29.2, rel. 30
d 2.967, 2θ 30.1, rel. 89
d 2.774, 2θ 32.3, rel. 100
d 2.766, 2θ 32.4, rel. 44
d 2.697, 2θ 33.2, rel. 95
d 2.688, 2θ 33.3, rel. 42
d 1.776, 2θ 51.5, rel. 41
d 1.691, 2θ 54.3, rel. 33
d 1.638, 2θ 56.1, rel. 33
d 1.524, 2θ 60.8, rel. 50

***

No. 3
For Y5Th, a GGA-PBE-relaxed structure gives the computed powder XRD pattern in this record (λ = 1.5418 Å (Cu Kα)).
Neutral-atom scattering factors, no anomalous dispersion.

Cell lengths 3.5863, 3.5863, 17.4284 Å; angles 90.00, 90.00, 120.00 degrees
Space group P-3m1 (No. 164)
Inequivalent atoms, fractional coordinates:
Y  0.0000  0.0000  0.0000 x1
Y  0.3333  0.6667  0.1668 x2
Y  0.3333  0.6667  0.6627 x2
Th  0.0000  0.0000  0.5000 x1

Main lines, by angle (2θ from 15° to 90°):
d 2.926, 2θ 30.6, rel. 100
d 2.905, 2θ 30.8, rel. 31
d 2.529, 2θ 35.5, rel. 68
d 1.793, 2θ 50.9, rel. 23
d 1.784, 2θ 51.2, rel. 25
d 1.529, 2θ 60.6, rel. 14
d 1.526, 2θ 60.7, rel. 27
d 1.520, 2θ 61.0, rel. 14
d 1.463, 2θ 63.6, rel. 12
d 1.163, 2θ 83.0, rel. 11